The following is a theoretical powder diffraction line list of SbTe2P. It was derived from a cell relaxed with PBE, using CuKα.
Intensities are scaled so that the largest is 100.

Atomic structure:
```
data_SbTe2P
_space_group_name_H-M_alt 'P 1'
_space_group_IT_number 1
_space_group_name_Hall 'P 1'
_cell_length_a 4.2827
_cell_length_b 4.2827
_cell_length_c 6.0873
_cell_angle_alpha 90.00
_cell_angle_beta 90.00
_cell_angle_gamma 90.00
loop_
_atom_site_label
_atom_site_fract_x
_atom_site_fract_y
_atom_site_fract_z
_atom_site_occupancy
Sb1 0.0000 0.0000 0.0000 1
Te1 0.0000 0.0000 0.5000 1
Te2 0.5000 0.5000 0.0000 1
P1 0.5000 0.5000 0.5000 1
```

Peak list (10 most intense, 2θ = 5–70°, most intense first)
- 29.50°, I = 100, hkl 1 1 0
- 42.09°, I = 75, hkl 1 1 2
- 29.34°, I = 51, hkl 0 0 2
- 52.23°, I = 39, hkl 2 0 2
- 42.20°, I = 37, hkl 2 0 0
- 69.35°, I = 33, hkl 3 1 0
- 69.07°, I = 17, hkl 1 1 4
- 25.43°, I = 16, hkl 1 0 1
- 14.55°, I = 13, hkl 0 0 1
- 61.21°, I = 12, hkl 2 2 0